[1]
Starting from a DFT-relaxed cell (GGA-PBE, Alexandria), the powder diffraction line list of Nd5YEr5 was computed for Cu Kα X-rays.
Peak positions follow from Bragg's law for the DFT cell and can differ from measured ones.

Crystal structure
abc: 6.106 6.106 11.798
angles: 90.00 90.00 120.00
Fractional positions:
Nd 0.000 0.000 0.000
Nd 0.333 0.667 0.316
Nd 0.333 0.667 0.684
Nd 0.667 0.333 0.153
Nd 0.667 0.333 0.847
Y 0.333 0.667 0.000
Er 0.000 0.000 0.266
Er 0.000 0.000 0.734
Er 0.333 0.166 0.500
Er 0.834 0.166 0.500
Er 0.834 0.667 0.500

The 10 most intense peaks (10° ≤ 2θ ≤ 90°), by intensity:
- 28.3 deg, I 100
- 34.8 deg, I 94
- 29.3 deg, I 87
- 37.3 deg, I 50
- 30.3 deg, I 46
- 33.0 deg, I 40
- 51.3 deg, I 39
- 51.9 deg, I 34
- 60.7 deg, I 31
- 46.1 deg, I 28

[2]
Starting from a DFT-relaxed cell (GGA-PBE, Alexandria), the powder diffraction line list of BaPd4Pb2 was computed for Cu Kα X-rays.
Peak positions follow from Bragg's law for the DFT cell and can differ from measured ones.

Crystal structure
abc: 7.444 7.444 7.444
angles: 109.96 109.96 108.49
Fractional positions:
Ba 0.250 0.250 0.000
Ba 0.750 0.750 0.000
Pd 0.020 0.520 0.210
Pd 0.190 0.980 0.500
Pd 0.310 0.810 0.790
Pd 0.480 0.690 0.500
Pd 0.520 0.310 0.500
Pd 0.690 0.190 0.210
Pd 0.810 0.020 0.500
Pd 0.980 0.480 0.790
Pb 0.152 0.348 0.500
Pb 0.348 0.848 0.197
Pb 0.652 0.152 0.803
Pb 0.848 0.652 0.500

The 10 most intense peaks (10° ≤ 2θ ≤ 90°), by intensity:
- 39.0 deg, I 100
- 33.2 deg, I 68
- 67.3 deg, I 31
- 14.7 deg, I 19
- 45.0 deg, I 17
- 42.3 deg, I 15
- 25.5 deg, I 15
- 25.2 deg, I 13
- 54.4 deg, I 13
- 29.3 deg, I 12

[3]
Starting from a DFT-relaxed cell (GGA-PBE, Alexandria), the powder diffraction line list of Tl5S2I was computed for Cu Kα X-rays.
Peak positions follow from Bragg's law for the DFT cell and can differ from measured ones.

Crystal structure
abc: 4.529 19.170 6.854
angles: 90.00 90.00 90.00
Fractional positions:
Tl 0.250 0.051 0.192
Tl 0.250 0.449 0.192
Tl 0.250 0.613 0.438
Tl 0.250 0.750 0.902
Tl 0.250 0.887 0.438
Tl 0.750 0.113 0.562
Tl 0.750 0.250 0.098
Tl 0.750 0.387 0.562
Tl 0.750 0.551 0.808
Tl 0.750 0.949 0.808
S 0.250 0.597 0.032
S 0.250 0.903 0.032
S 0.750 0.097 0.968
S 0.750 0.403 0.968
I 0.250 0.250 0.510
I 0.750 0.750 0.490

The 10 most intense peaks (10° ≤ 2θ ≤ 90°), by intensity:
- 27.4 deg, I 100
- 25.3 deg, I 58
- 35.7 deg, I 43
- 26.6 deg, I 37
- 38.4 deg, I 34
- 39.8 deg, I 32
- 48.5 deg, I 32
- 23.5 deg, I 29
- 50.7 deg, I 28
- 27.9 deg, I 27

[4]
Starting from a DFT-relaxed cell (GGA-PBE, Alexandria), the powder diffraction line list of OF6 was computed for Cu Kα X-rays.
Peak positions follow from Bragg's law for the DFT cell and can differ from measured ones.

Crystal structure
abc: 9.131 8.475 5.266
angles: 90.00 90.00 90.00
Fractional positions:
O 0.226 0.250 0.138
O 0.274 0.750 0.638
O 0.726 0.250 0.362
O 0.774 0.750 0.862
F 0.054 0.085 0.777
F 0.054 0.415 0.777
F 0.063 0.750 0.132
F 0.132 0.250 0.331
F 0.154 0.549 0.649
F 0.154 0.951 0.649
F 0.346 0.049 0.149
F 0.346 0.451 0.149
F 0.368 0.750 0.831
F 0.437 0.250 0.632
F 0.446 0.585 0.277
F 0.446 0.915 0.277
F 0.554 0.085 0.723
F 0.554 0.415 0.723
F 0.563 0.750 0.368
F 0.632 0.250 0.169
F 0.654 0.549 0.851
F 0.654 0.951 0.851
F 0.846 0.049 0.351
F 0.846 0.451 0.351
F 0.868 0.750 0.669
F 0.937 0.250 0.868
F 0.946 0.585 0.223
F 0.946 0.915 0.223

The 10 most intense peaks (10° ≤ 2θ ≤ 90°), by intensity:
- 33.5 deg, I 100
- 27.9 deg, I 68
- 34.0 deg, I 33
- 37.1 deg, I 25
- 51.5 deg, I 21
- 35.5 deg, I 13
- 66.0 deg, I 12
- 25.8 deg, I 12
- 60.9 deg, I 11
- 47.2 deg, I 10

[5]
Starting from a DFT-relaxed cell (GGA-PBE, Alexandria), the powder diffraction line list of Hf3H2 was computed for Cu Kα X-rays.
Peak positions follow from Bragg's law for the DFT cell and can differ from measured ones.

Crystal structure
abc: 10.224 4.673 3.184
angles: 90.00 107.88 90.00
Fractional positions:
Hf 0.000 0.000 0.000
Hf 0.177 0.500 0.677
Hf 0.323 0.000 0.323
Hf 0.500 0.500 0.000
Hf 0.677 0.000 0.677
Hf 0.823 0.500 0.323
H 0.000 0.264 0.500
H 0.000 0.736 0.500
H 0.500 0.236 0.500
H 0.500 0.764 0.500

The 10 most intense peaks (10° ≤ 2θ ≤ 90°), by intensity:
- 33.6 deg, I 100
- 34.1 deg, I 99
- 38.5 deg, I 35
- 39.6 deg, I 32
- 39.8 deg, I 32
- 56.4 deg, I 23
- 56.6 deg, I 23
- 66.9 deg, I 14
- 66.6 deg, I 14
- 68.5 deg, I 13

[6]
Starting from a DFT-relaxed cell (GGA-PBE, Alexandria), the powder diffraction line list of La7Tb4Pu was computed for Cu Kα X-rays.
Peak positions follow from Bragg's law for the DFT cell and can differ from measured ones.

Crystal structure
abc: 6.361 6.361 12.218
angles: 105.16 105.16 59.94
Fractional positions:
La 0.000 0.000 0.000
La 0.085 0.427 0.256
La 0.248 0.588 0.744
La 0.412 0.752 0.256
La 0.573 0.915 0.744
La 0.757 0.080 0.256
La 0.920 0.243 0.744
Tb 0.332 0.335 0.000
Tb 0.500 0.167 0.500
Tb 0.665 0.668 0.000
Tb 0.833 0.500 0.500
Pu 0.166 0.834 0.500

The 10 most intense peaks (10° ≤ 2θ ≤ 90°), by intensity:
- 32.1 deg, I 100
- 29.1 deg, I 55
- 30.7 deg, I 35
- 59.5 deg, I 32
- 36.5 deg, I 31
- 49.7 deg, I 28
- 60.4 deg, I 16
- 48.4 deg, I 14
- 55.5 deg, I 14
- 81.8 deg, I 9

[7]
Starting from a DFT-relaxed cell (GGA-PBE, Alexandria), the powder diffraction line list of Tb8Ho3Th2 was computed for Cu Kα X-rays.
Peak positions follow from Bragg's law for the DFT cell and can differ from measured ones.

Crystal structure
abc: 6.147 7.645 18.615
angles: 86.10 81.08 77.55
Fractional positions:
Tb 0.001 0.020 0.322
Tb 0.112 0.555 0.076
Tb 0.113 0.532 0.739
Tb 0.232 0.095 0.815
Tb 0.335 0.660 0.887
Tb 0.370 0.648 0.561
Tb 0.446 0.217 0.963
Tb 0.449 0.178 0.614
Tb 0.551 0.822 0.386
Tb 0.554 0.783 0.037
Tb 0.630 0.352 0.439
Tb 0.665 0.340 0.113
Tb 0.768 0.905 0.185
Tb 0.887 0.468 0.261
Tb 0.888 0.445 0.924
Tb 0.999 0.980 0.678
Ho 0.000 0.000 0.000
Ho 0.000 0.000 0.500
Ho 0.333 0.684 0.227
Ho 0.432 0.243 0.290
Ho 0.568 0.757 0.710
Ho 0.667 0.316 0.773
Th 0.089 0.567 0.414
Th 0.220 0.119 0.147
Th 0.780 0.881 0.853
Th 0.911 0.433 0.586

The 10 most intense peaks (10° ≤ 2θ ≤ 90°), by intensity:
- 30.9 deg, I 100
- 31.2 deg, I 98
- 34.7 deg, I 39
- 35.4 deg, I 33
- 37.7 deg, I 25
- 50.4 deg, I 22
- 52.7 deg, I 19
- 64.3 deg, I 17
- 59.6 deg, I 15
- 60.8 deg, I 15

[8]
Starting from a DFT-relaxed cell (GGA-PBE, Alexandria), the powder diffraction line list of SrAc2Sn3 was computed for Cu Kα X-rays.
Peak positions follow from Bragg's law for the DFT cell and can differ from measured ones.

Crystal structure
abc: 8.939 8.939 8.939
angles: 105.84 92.30 133.39
Fractional positions:
Sr 0.499 0.249 0.250
Sr 0.501 0.751 0.750
Ac 0.166 0.250 0.916
Ac 0.166 0.750 0.416
Ac 0.834 0.250 0.584
Ac 0.834 0.750 0.084
Sn 0.000 0.000 0.500
Sn 0.000 0.250 0.250
Sn 0.000 0.500 0.000
Sn 0.000 0.750 0.750
Sn 0.500 0.250 0.750
Sn 0.500 0.750 0.250

The 10 most intense peaks (10° ≤ 2θ ≤ 90°), by intensity:
- 30.1 deg, I 100
- 30.2 deg, I 49
- 33.6 deg, I 43
- 14.4 deg, I 42
- 33.2 deg, I 36
- 25.0 deg, I 31
- 47.5 deg, I 29
- 62.5 deg, I 28
- 33.4 deg, I 23
- 51.2 deg, I 22

[9]
Starting from a DFT-relaxed cell (GGA-PBE, Alexandria), the powder diffraction line list of Sc2TiTe6 was computed for Cu Kα X-rays.
Peak positions follow from Bragg's law for the DFT cell and can differ from measured ones.

Crystal structure
abc: 6.947 7.507 11.660
angles: 90.00 125.53 90.00
Fractional positions:
Sc 0.219 0.140 0.257
Sc 0.219 0.360 0.757
Sc 0.781 0.640 0.243
Sc 0.781 0.860 0.743
Ti 0.000 0.000 0.500
Ti 0.000 0.500 0.000
Te 0.091 0.172 0.931
Te 0.091 0.328 0.431
Te 0.263 0.676 0.924
Te 0.263 0.824 0.424
Te 0.422 0.024 0.762
Te 0.422 0.476 0.262
Te 0.578 0.524 0.738
Te 0.578 0.976 0.238
Te 0.737 0.176 0.576
Te 0.737 0.324 0.076
Te 0.909 0.672 0.569
Te 0.909 0.828 0.069

The 10 most intense peaks (10° ≤ 2θ ≤ 90°), by intensity:
- 30.8 deg, I 100
- 28.3 deg, I 81
- 30.0 deg, I 69
- 28.7 deg, I 61
- 53.9 deg, I 58
- 38.2 deg, I 58
- 33.2 deg, I 57
- 30.4 deg, I 50
- 31.3 deg, I 46
- 57.1 deg, I 44

[10]
Starting from a DFT-relaxed cell (GGA-PBE, Alexandria), the powder diffraction line list of CeHfTi2O8 was computed for Cu Kα X-rays.
Peak positions follow from Bragg's law for the DFT cell and can differ from measured ones.

Crystal structure
abc: 6.497 6.497 6.497
angles: 133.95 133.95 67.16
Fractional positions:
Ce 0.000 0.000 0.000
Hf 0.250 0.750 0.500
Ti 0.500 0.500 0.000
Ti 0.750 0.250 0.500
O 0.020 0.068 0.427
O 0.243 0.673 0.096
O 0.327 0.423 0.570
O 0.407 0.980 0.048
O 0.577 0.147 0.904
O 0.640 0.593 0.573
O 0.853 0.757 0.430
O 0.932 0.360 0.952

The 10 most intense peaks (10° ≤ 2θ ≤ 90°), by intensity:
- 29.8 deg, I 100
- 19.3 deg, I 41
- 49.2 deg, I 31
- 60.1 deg, I 28
- 35.3 deg, I 18
- 57.1 deg, I 16
- 50.8 deg, I 15
- 40.6 deg, I 15
- 33.1 deg, I 13
- 47.3 deg, I 11

[11]
Starting from a DFT-relaxed cell (GGA-PBE, Alexandria), the powder diffraction line list of LiNi4Sn2 was computed for Cu Kα X-rays.
Peak positions follow from Bragg's law for the DFT cell and can differ from measured ones.

Crystal structure
abc: 5.665 5.665 7.949
angles: 90.00 90.00 53.92
Fractional positions:
Li 0.000 0.000 0.000
Li 0.500 0.500 0.500
Ni 0.000 0.500 0.250
Ni 0.000 0.500 0.750
Ni 0.249 0.751 0.750
Ni 0.251 0.749 0.250
Ni 0.500 0.000 0.250
Ni 0.500 0.000 0.750
Ni 0.749 0.251 0.750
Ni 0.751 0.249 0.250
Sn 0.147 0.147 0.500
Sn 0.353 0.353 0.000
Sn 0.647 0.647 0.000
Sn 0.853 0.853 0.500

The 10 most intense peaks (10° ≤ 2θ ≤ 90°), by intensity:
- 41.9 deg, I 100
- 42.4 deg, I 79
- 22.4 deg, I 78
- 33.8 deg, I 75
- 50.7 deg, I 47
- 45.7 deg, I 41
- 70.6 deg, I 34
- 47.1 deg, I 30
- 39.3 deg, I 20
- 89.0 deg, I 19

[12]
Starting from a DFT-relaxed cell (GGA-PBE, Alexandria), the powder diffraction line list of Cs3Tb3NbS8 was computed for Cu Kα X-rays.
Peak positions follow from Bragg's law for the DFT cell and can differ from measured ones.

Crystal structure
abc: 9.418 9.418 9.418
angles: 49.99 49.99 49.99
Fractional positions:
Cs 0.000 0.500 0.500
Cs 0.500 0.000 0.500
Cs 0.500 0.500 0.000
Tb 0.000 0.000 0.500
Tb 0.000 0.500 0.000
Tb 0.500 0.000 0.000
Nb 0.500 0.500 0.500
S 0.228 0.228 0.228
S 0.248 0.713 0.713
S 0.287 0.287 0.752
S 0.287 0.752 0.287
S 0.713 0.248 0.713
S 0.713 0.713 0.248
S 0.752 0.287 0.287
S 0.772 0.772 0.772

The 10 most intense peaks (10° ≤ 2θ ≤ 90°), by intensity:
- 29.7 deg, I 100
- 26.9 deg, I 46
- 39.2 deg, I 38
- 21.6 deg, I 33
- 45.6 deg, I 33
- 10.8 deg, I 24
- 45.2 deg, I 22
- 51.0 deg, I 22
- 55.4 deg, I 16
- 74.5 deg, I 13